Record 1
The following is a calculated powder X-ray diffraction pattern of Tm2Sn4Mo3. It was derived from DFT lattice parameters and positions (GGA-PBE), using λ = 1.5418 Å (Cu Kα).
Kinematic intensities with the Lorentz-polarization factor, no thermal factor.

Structure:
abc: 7.345 7.456 7.298
angles: 90.00 108.89 90.00
Fractional coordinates of all 18 atoms:
Tm: 0.187 0.174 0.045
Tm: 0.187 0.326 0.545
Tm: 0.813 0.674 0.455
Tm: 0.813 0.826 0.955
Sn: 0.097 0.550 0.852
Sn: 0.097 0.950 0.352
Sn: 0.494 0.644 0.639
Sn: 0.494 0.856 0.139
Sn: 0.506 0.144 0.861
Sn: 0.506 0.356 0.361
Sn: 0.903 0.050 0.648
Sn: 0.903 0.450 0.148
Mo: 0.247 0.644 0.249
Mo: 0.247 0.856 0.749
Mo: 0.500 0.000 0.500
Mo: 0.500 0.500 0.000
Mo: 0.753 0.144 0.251
Mo: 0.753 0.356 0.751

Principal peaks in the range 10° ≤ 2θ ≤ 80°, by angle:
2θ 31.9, I 15.0; 2θ 32.4, I 20.1; 2θ 34.6, I 100.0; 2θ 38.5, I 26.3; 2θ 38.9, I 42.0; 2θ 39.2, I 10.2; 2θ 49.3, I 7.7; 2θ 52.5, I 7.6; 2θ 59.1, I 6.6; 2θ 73.1, I 7.4


Record 2
The following is a calculated powder X-ray diffraction pattern of TaMo2. It was derived from DFT lattice parameters and positions (GGA-PBE), using λ = 1.5418 Å (Cu Kα).
Kinematic intensities with the Lorentz-polarization factor, no thermal factor.

Structure:
abc: 5.334 5.334 5.334
angles: 145.08 145.08 50.21
Fractional coordinates of all 3 atoms:
Ta: 0.000 0.000 0.000
Mo: 0.330 0.330 0.000
Mo: 0.670 0.670 0.000

Principal peaks in the range 10° ≤ 2θ ≤ 80°, by angle:
2θ 18.4, I 6.1; 2θ 29.4, I 11.1; 2θ 39.7, I 100.0; 2θ 39.8, I 49.7; 2θ 44.2, I 2.9; 2θ 55.6, I 3.8; 2θ 57.2, I 8.4; 2θ 57.6, I 16.6; 2θ 72.0, I 17.0; 2θ 72.2, I 33.9